1.
Structure and theoretical powder XRD pattern of VNi14P (DFT lattice parameters and positions (PBE); Cu Kα X-rays).
Neutral-atom scattering factors, no anomalous dispersion.

Atomic structure:
Cell: 5.0175 5.0175 6.9150 Å, 90.00 90.00 90.00°
Space group P4/mmm (No. 123)
Symmetry-distinct sites (fractional):
1 V 0.0000 0.0000 0.0000 [1 per cell]
2 Ni 0.0000 0.0000 0.5000 [1 per cell]
3 Ni 0.0000 0.5000 0.0000 [2 per cell]
4 Ni 0.0000 0.5000 0.5000 [2 per cell]
5 Ni 0.2525 0.2525 0.2455 [8 per cell]
6 Ni 0.5000 0.5000 0.5000 [1 per cell]
7 P 0.5000 0.5000 0.0000 [1 per cell]

Peak list (9 most intense, 2θ from 10° to 90°, by angle)
| index | Position (°2θ) | Rel. int. |
| --- | --- | --- |
| 0 0 1 | 12.80 | 1 |
| 1 1 0 | 25.10 | 1 |
| 1 1 1 | 28.27 | 1 |
| 2 0 1 | 38.16 | 1 |
| 2 0 2 | 44.63 | 100 |
| 2 2 0 | 51.52 | 32 |
| 0 0 4 | 52.97 | 14 |
| 4 0 0 | 75.84 | 9 |
| 2 2 4 | 77.02 | 17 |

2.
Structure and theoretical powder XRD pattern of LaAsH2Pd2 (DFT lattice parameters and positions (PBE); Cu Kα X-rays).
Neutral-atom scattering factors, no anomalous dispersion.

Atomic structure:
Cell: 5.8276 5.6201 6.0254 Å, 90.00 103.25 90.00°
Space group P2_1/m (No. 11)
Symmetry-distinct sites (fractional):
1 La 0.1922 0.2500 0.2890 [2 per cell]
2 As 0.3001 0.7500 0.1409 [2 per cell]
3 H 0.1259 0.2500 0.7022 [2 per cell]
4 H 0.2401 0.7500 0.6034 [2 per cell]
5 Pd 0.3169 0.0010 0.7888 [4 per cell]

Peak list (10 most intense, 2θ from 10° to 90°, by angle)
| index | Position (°2θ) | Rel. int. |
| --- | --- | --- |
| 1 1 -1 | 24.87 | 44 |
| 0 0 2 | 30.48 | 70 |
| 2 0 0 | 31.54 | 58 |
| 0 1 2 | 34.50 | 19 |
| 2 1 0 | 35.45 | 17 |
| 1 2 -1 | 37.41 | 100 |
| 2 0 1 | 38.29 | 23 |
| 1 2 1 | 40.40 | 86 |
| 2 1 -2 | 42.11 | 22 |
| 3 2 2 | 73.73 | 20 |

3.
Structure and theoretical powder XRD pattern of K2ScF4 (DFT lattice parameters and positions (PBE); Cu Kα X-rays).
Neutral-atom scattering factors, no anomalous dispersion.

Atomic structure:
Cell: 4.1053 4.1053 19.0870 Å, 90.00 90.00 90.00°
Space group I4/mmm (No. 139)
Symmetry-distinct sites (fractional):
1 K 0.0000 0.0000 0.1474 [4 per cell]
2 Sc 0.0000 0.0000 0.5000 [2 per cell]
3 F 0.0000 0.0000 0.3946 [4 per cell]
4 F 0.0000 0.5000 0.0000 [4 per cell]

Peak list (10 most intense, 2θ from 10° to 90°, by angle)
| index | Position (°2θ) | Rel. int. |
| --- | --- | --- |
| 1 0 3 | 25.83 | 100 |
| 0 0 6 | 28.05 | 26 |
| 1 1 0 | 30.80 | 45 |
| 1 1 4 | 36.22 | 34 |
| 0 0 8 | 37.70 | 15 |
| 2 0 0 | 44.12 | 39 |
| 1 0 9 | 48.30 | 20 |
| 2 1 3 | 51.83 | 25 |
| 2 0 6 | 53.10 | 14 |
| 2 0 8 | 59.40 | 13 |

4.
Structure and theoretical powder XRD pattern of Cu12Pd7Au2 (DFT lattice parameters and positions (PBE); Cu Kα X-rays).
Neutral-atom scattering factors, no anomalous dispersion.

Atomic structure:
Cell: 11.2674 11.2674 2.6913 Å, 90.00 90.00 120.00°
Space group P-6 (No. 174)
Symmetry-distinct sites (fractional):
1 Cu 0.0463 0.7966 0.0000 [3 per cell]
2 Cu 0.1315 0.4177 0.5000 [3 per cell]
3 Cu 0.4171 0.2629 0.5000 [3 per cell]
4 Cu 0.5006 0.1015 0.0000 [3 per cell]
5 Pd 0.0867 0.6183 0.5000 [3 per cell]
6 Pd 0.2464 0.0445 0.0000 [3 per cell]
7 Pd 0.6667 0.3333 0.5000 [1 per cell]
8 Au 0.0000 0.0000 0.5000 [1 per cell]
9 Au 0.3333 0.6667 0.0000 [1 per cell]

Peak list (10 most intense, 2θ from 10° to 90°, by angle)
| index | Position (°2θ) | Rel. int. |
| --- | --- | --- |
| 1 1 0 | 15.73 | 13 |
| 2 0 1 | 38.19 | 18 |
| 1 2 1 | 41.54 | 84 |
| 4 1 0 | 42.45 | 100 |
| 1 3 1 | 47.65 | 11 |
| 2 3 1 | 53.22 | 12 |
| 2 4 1 | 60.90 | 18 |
| 7 0 1 | 77.04 | 17 |
| 3 6 0 | 77.67 | 14 |
| 4 1 2 | 85.33 | 25 |